Structure and calculated PXRD pattern of LiInMo3O8 (a structure optimized by DFT (GGA+U); a wavelength of 1.5418 Å).
Peak positions follow from Bragg's law for the DFT cell and can differ from measured ones.

Most intense lines, 5° ≤ 2θ ≤ 70°, sorted by position:
2θ = 17.44°, intensity 35, (0 0 1)
2θ = 24.81°, intensity 100, (1 0 1)
2θ = 35.45°, intensity 79, (2 0 0)
2θ = 39.78°, intensity 21, (0 2 1)
2θ = 50.89°, intensity 56, (0 2 2)
2θ = 51.00°, intensity 29, (2 1 1)
2θ = 57.55°, intensity 14, (0 3 1)
2θ = 63.69°, intensity 16, (2 2 0)

Structural model:
```
data_LiInMo3O8
_space_group_name_H-M_alt 'P 1'
_space_group_IT_number 1
_space_group_name_Hall 'P 1'
_cell_length_a 5.844
_cell_length_b 5.844
_cell_length_c 5.090
_cell_angle_alpha 90.00
_cell_angle_beta 90.00
_cell_angle_gamma 120.00
loop_
_atom_site_label
_atom_site_fract_x
_atom_site_fract_y
_atom_site_fract_z
Li1 0.000 0.000 0.000
In1 0.667 0.333 0.031
Mo1 0.186 0.373 0.553
Mo2 0.186 0.814 0.553
Mo3 0.627 0.814 0.553
O1 0.000 0.000 0.361
O2 0.000 0.500 0.315
O3 0.317 0.159 0.778
O4 0.333 0.667 0.835
O5 0.500 0.000 0.315
O6 0.500 0.500 0.315
O7 0.841 0.159 0.778
O8 0.841 0.683 0.778
```